(1)
Theoretical PXRD pattern
Compound: NaLiZnP2O7
Radiation: Cu Kα (weighted mean of Kα1 and Kα2)
Structure: DFT lattice parameters and positions (GGA-PBE)
Intensities are scaled so that the largest is 100.

Top 6 peaks for 15 to 90 degrees two-theta, by angle:
hkl	d/Å	2θ/deg	I_rel
1 1 1	4.570	19.43	100
2 2 0	3.245	27.48	47
1 3 1	3.190	27.97	47
1 1 2	2.883	31.02	23
2 4 0	2.421	37.13	47
3 5 2	1.560	59.24	19

a b c (Å): 7.572 12.603 6.435
angles (deg): 90.00 90.00 90.00
Space group C222_1 (No. 20)
Inequivalent atoms, fractional coordinates:
1 Na 0.241 0.000 0.000
2 Li 0.000 0.214 0.250
3 Zn 0.000 0.217 0.750
4 P 0.192 0.385 0.996
5 O 0.037 0.304 0.002
6 O 0.088 0.500 0.000
7 O 0.201 0.121 0.299
8 O 0.202 0.119 0.701


(2)
Theoretical PXRD pattern
Compound: RbNa3Li12Si4O16
Radiation: Cu Kα (weighted mean of Kα1 and Kα2)
Structure: DFT lattice parameters and positions (GGA-PBE)
Intensities are scaled so that the largest is 100.

Top 6 peaks for 15 to 90 degrees two-theta, by angle:
hkl	d/Å	2θ/deg	I_rel
1 2 1	3.887	22.88	91
3 1 0	3.474	25.64	30
4 2 0	2.456	36.58	58
1 3 2	2.345	38.39	100
6 2 0	1.737	52.69	24
5 5 2	1.396	67.06	32

a b c (Å): 10.985 10.985 6.356
angles (deg): 90.00 90.00 90.00
Space group I4/m (No. 87)
Inequivalent atoms, fractional coordinates:
1 Rb 0.000 0.000 0.000
2 Na 0.000 0.000 0.500
3 Na 0.000 0.500 0.250
4 Li 0.072 0.714 0.000
5 Li 0.108 0.234 0.257
6 Si 0.075 0.720 0.500
7 O 0.065 0.339 0.500
8 O 0.084 0.803 0.283
9 O 0.108 0.325 0.000